(1)
Diffraction record for LiLu4Co4O12. The powder X-ray diffraction pattern is calculated, not measured: it uses a structure optimized by DFT (PBE+U) and a wavelength of 1.5418 Å.
Lines closer than 0.1° are merged.

Atomic structure:
```
data_LiLu4Co4O12
_symmetry_space_group_name_H-M 'P 1'
_symmetry_Int_Tables_number 1
_symmetry_space_group_name_Hall 'P 1'
_cell_length_a 5.141
_cell_length_b 5.863
_cell_length_c 7.450
_cell_angle_alpha 89.68
_cell_angle_beta 89.64
_cell_angle_gamma 89.53
loop_
_atom_site_label
_atom_site_type_symbol
_atom_site_fract_x
_atom_site_fract_y
_atom_site_fract_z
_atom_site_occupancy
Li1 Li 0.000 0.000 0.000 1
Lu1 Lu 0.421 0.339 0.504 1
Lu2 Lu 0.481 0.156 0.999 1
Lu3 Lu 0.898 0.615 0.998 1
Lu4 Lu 0.965 0.835 0.504 1
Co1 Co 0.435 0.752 0.751 1
Co2 Co 0.436 0.751 0.253 1
Co3 Co 0.947 0.254 0.738 1
Co4 Co 0.949 0.253 0.262 1
O1 O 0.079 0.288 0.009 1
O2 O 0.138 0.574 0.691 1
O3 O 0.142 0.574 0.317 1
O4 O 0.255 0.070 0.315 1
O5 O 0.266 0.067 0.690 1
O6 O 0.284 0.806 0.002 1
O7 O 0.582 0.694 0.502 1
O8 O 0.627 0.426 0.815 1
O9 O 0.636 0.420 0.191 1
O10 O 0.750 0.912 0.180 1
O11 O 0.755 0.914 0.819 1
O12 O 0.814 0.194 0.495 1
```

Top 6 peaks for 2θ from 5° to 70°, by intensity:
| d [Å] | I (rel.) | h k l |
| --- | --- | --- |
| 2.677 | 100 | 1 -1 2 |
| 3.423 | 51 | -1 1 1 |
| 1.863 | 39 | 0 0 4 |
| 2.570 | 32 | 2 0 0 |
| 2.699 | 31 | 1 1 2 |
| 3.725 | 25 | 0 0 2 |

***

(2)
Diffraction record for LiMg6CoO8. The powder X-ray diffraction pattern is calculated, not measured: it uses a structure optimized by DFT (PBE+U) and a wavelength of 1.5418 Å.
Lines closer than 0.1° are merged.

Atomic structure:
```
data_LiMg6CoO8
_symmetry_space_group_name_H-M 'P 4/m m m'
_symmetry_Int_Tables_number 123
_symmetry_space_group_name_Hall '-P 4 2'
_cell_length_a 4.236
_cell_length_b 4.236
_cell_length_c 8.423
_cell_angle_alpha 90.00
_cell_angle_beta 90.00
_cell_angle_gamma 90.00
loop_
_atom_site_label
_atom_site_type_symbol
_atom_site_fract_x
_atom_site_fract_y
_atom_site_fract_z
_atom_site_occupancy
Li1 Li 0.000 0.000 0.000 1
Mg1 Mg 0.000 0.500 0.242 1
Mg2 Mg 0.500 0.500 0.000 1
Mg3 Mg 0.500 0.500 0.500 1
Co1 Co 0.000 0.000 0.500 1
O1 O 0.000 0.000 0.274 1
O2 O 0.000 0.500 0.000 1
O3 O 0.000 0.500 0.500 1
O4 O 0.500 0.500 0.253 1
```

Top 6 peaks for 2θ from 5° to 70°, by intensity:
| d [Å] | I (rel.) | h k l |
| --- | --- | --- |
| 2.118 | 100 | 2 0 0 |
| 1.493 | 53 | 2 0 4 |
| 2.106 | 47 | 0 0 4 |
| 8.423 | 43 | 0 0 1 |
| 3.784 | 32 | 1 0 1 |
| 1.498 | 28 | 2 2 0 |

***

(3)
Diffraction record for Li2MgCo13O28. The powder X-ray diffraction pattern is calculated, not measured: it uses a structure optimized by DFT (PBE+U) and a wavelength of 1.5418 Å.
Lines closer than 0.1° are merged.

Atomic structure:
```
data_Li2MgCo13O28
_symmetry_space_group_name_H-M 'P -1'
_symmetry_Int_Tables_number 2
_symmetry_space_group_name_Hall '-P 1'
_cell_length_a 7.545
_cell_length_b 8.175
_cell_length_c 8.654
_cell_angle_alpha 100.91
_cell_angle_beta 104.67
_cell_angle_gamma 105.65
loop_
_atom_site_label
_atom_site_type_symbol
_atom_site_fract_x
_atom_site_fract_y
_atom_site_fract_z
_atom_site_occupancy
Li1 Li 0.079 0.216 0.292 1
Mg1 Mg 0.000 0.500 0.500 1
Co1 Co 0.072 0.716 0.287 1
Co2 Co 0.143 0.929 0.071 1
Co3 Co 0.219 0.151 0.864 1
Co4 Co 0.288 0.362 0.647 1
Co5 Co 0.362 0.578 0.434 1
Co6 Co 0.428 0.788 0.216 1
Co7 Co 0.500 0.000 0.000 1
O1 O 0.024 0.267 0.531 1
O2 O 0.052 0.938 0.256 1
O3 O 0.102 0.500 0.305 1
O4 O 0.127 0.152 0.053 1
O5 O 0.158 0.711 0.100 1
O6 O 0.200 0.366 0.836 1
O7 O 0.226 0.923 0.882 1
O8 O 0.295 0.583 0.626 1
O9 O 0.301 0.138 0.676 1
O10 O 0.345 0.799 0.403 1
O11 O 0.364 0.349 0.452 1
O12 O 0.412 0.009 0.186 1
O13 O 0.442 0.570 0.242 1
O14 O 0.488 0.221 0.975 1
```

Top 6 peaks for 2θ from 5° to 70°, by intensity:
| d [Å] | I (rel.) | h k l |
| --- | --- | --- |
| 4.880 | 100 | 0 1 1 |
| 2.430 | 20 | 3 -1 0 |
| 2.047 | 15 | 2 0 -4 |
| 2.041 | 14 | 1 -4 1 |
| 2.039 | 14 | 3 0 1 |
| 2.423 | 10 | 1 -3 2 |

***

Please write out number 3 again, unchanged.
Diffraction record for Li2MgCo13O28. The powder X-ray diffraction pattern is calculated, not measured: it uses a structure optimized by DFT (PBE+U) and a wavelength of 1.5418 Å.
Lines closer than 0.1° are merged.

Atomic structure:
```
data_Li2MgCo13O28
_symmetry_space_group_name_H-M 'P -1'
_symmetry_Int_Tables_number 2
_symmetry_space_group_name_Hall '-P 1'
_cell_length_a 7.545
_cell_length_b 8.175
_cell_length_c 8.654
_cell_angle_alpha 100.91
_cell_angle_beta 104.67
_cell_angle_gamma 105.65
loop_
_atom_site_label
_atom_site_type_symbol
_atom_site_fract_x
_atom_site_fract_y
_atom_site_fract_z
_atom_site_occupancy
Li1 Li 0.079 0.216 0.292 1
Mg1 Mg 0.000 0.500 0.500 1
Co1 Co 0.072 0.716 0.287 1
Co2 Co 0.143 0.929 0.071 1
Co3 Co 0.219 0.151 0.864 1
Co4 Co 0.288 0.362 0.647 1
Co5 Co 0.362 0.578 0.434 1
Co6 Co 0.428 0.788 0.216 1
Co7 Co 0.500 0.000 0.000 1
O1 O 0.024 0.267 0.531 1
O2 O 0.052 0.938 0.256 1
O3 O 0.102 0.500 0.305 1
O4 O 0.127 0.152 0.053 1
O5 O 0.158 0.711 0.100 1
O6 O 0.200 0.366 0.836 1
O7 O 0.226 0.923 0.882 1
O8 O 0.295 0.583 0.626 1
O9 O 0.301 0.138 0.676 1
O10 O 0.345 0.799 0.403 1
O11 O 0.364 0.349 0.452 1
O12 O 0.412 0.009 0.186 1
O13 O 0.442 0.570 0.242 1
O14 O 0.488 0.221 0.975 1
```

Top 6 peaks for 2θ from 5° to 70°, by intensity:
| d [Å] | I (rel.) | h k l |
| --- | --- | --- |
| 4.880 | 100 | 0 1 1 |
| 2.430 | 20 | 3 -1 0 |
| 2.047 | 15 | 2 0 -4 |
| 2.041 | 14 | 1 -4 1 |
| 2.039 | 14 | 3 0 1 |
| 2.423 | 10 | 1 -3 2 |